No. 1
Starting from a GGA-PBE-relaxed structure, the X-ray powder pattern of LaMg2Bi3 was simulated for Cu Kα X-rays.
Neutral-atom scattering factors, no anomalous dispersion.

Structure:
a = 4.4231 Å, b = 12.4047 Å, c = 6.7012 Å
α = 90.00°, β = 90.00°, γ = 90.00°
Space group Pmc2_1 (No. 26)
One atom of each set of equivalent atoms:
1 La 0.0000 0.1185 0.0000 x2
2 Mg 0.0000 0.2412 0.5122 x2
3 Mg 0.5000 0.4636 0.5412 x2
4 Bi 0.0000 0.3887 0.8530 x2
5 Bi 0.5000 0.0801 0.6141 x2
6 Bi 0.5000 0.2851 0.2172 x2

Main lines, by angle (2θ from 10° to 90°):
- (1 1 1), 25.2 deg, d = 3.538 Å, rel. 77.6
- (0 3 1), 25.3 deg, d = 3.519 Å, rel. 81.2
- (0 1 2), 27.6 deg, d = 3.235 Å, rel. 42.8
- (1 2 1), 28.1 deg, d = 3.172 Å, rel. 98.0
- (1 3 1), 32.5 deg, d = 2.754 Å, rel. 100.0
- (1 0 2), 33.6 deg, d = 2.671 Å, rel. 62.8
- (1 4 0), 35.3 deg, d = 2.539 Å, rel. 23.6
- (2 0 0), 40.8 deg, d = 2.212 Å, rel. 39.7
- (1 5 0), 41.7 deg, d = 2.164 Å, rel. 23.2
- (0 2 3), 43.0 deg, d = 2.102 Å, rel. 23.9
- (2 3 1), 48.6 deg, d = 1.872 Å, rel. 29.7
- (1 1 4), 59.5 deg, d = 1.554 Å, rel. 23.0

***

No. 2
Starting from a GGA-PBE-relaxed structure, the X-ray powder pattern of LaMgBi2 was simulated for Cu Kα X-rays.
Neutral-atom scattering factors, no anomalous dispersion.

Structure:
a = 4.6304 Å, b = 4.6304 Å, c = 11.3120 Å
α = 90.00°, β = 90.00°, γ = 90.00°
Space group P4/nmm (No. 129, origin choice 2)
One atom of each set of equivalent atoms:
1 La 0.2500 0.2500 0.2245 x2
2 Mg 0.2500 0.7500 0.5000 x2
3 Bi 0.2500 0.2500 0.6800 x2
4 Bi 0.2500 0.7500 0.0000 x2

Main lines, by angle (2θ from 10° to 90°):
- (0 0 3), 23.6 deg, d = 3.771 Å, rel. 19.1
- (1 0 2), 24.9 deg, d = 3.583 Å, rel. 27.9
- (1 1 1), 28.4 deg, d = 3.145 Å, rel. 29.7
- (1 1 2), 31.6 deg, d = 2.833 Å, rel. 100.0
- (1 0 4), 37.3 deg, d = 2.413 Å, rel. 19.6
- (2 0 0), 38.9 deg, d = 2.315 Å, rel. 35.7
- (2 0 3), 46.0 deg, d = 1.973 Å, rel. 13.9
- (2 1 2), 46.7 deg, d = 1.945 Å, rel. 10.6
- (2 0 4), 51.0 deg, d = 1.791 Å, rel. 9.1
- (2 1 4), 55.0 deg, d = 1.671 Å, rel. 13.0
- (2 2 0), 56.2 deg, d = 1.637 Å, rel. 12.4
- (3 1 2), 65.9 deg, d = 1.417 Å, rel. 27.0

***

What did the first record say?
Starting from a GGA-PBE-relaxed structure, the X-ray powder pattern of LaMg2Bi3 was simulated for Cu Kα X-rays.
Neutral-atom scattering factors, no anomalous dispersion.

Structure:
a = 4.4231 Å, b = 12.4047 Å, c = 6.7012 Å
α = 90.00°, β = 90.00°, γ = 90.00°
Space group Pmc2_1 (No. 26)
One atom of each set of equivalent atoms:
1 La 0.0000 0.1185 0.0000 x2
2 Mg 0.0000 0.2412 0.5122 x2
3 Mg 0.5000 0.4636 0.5412 x2
4 Bi 0.0000 0.3887 0.8530 x2
5 Bi 0.5000 0.0801 0.6141 x2
6 Bi 0.5000 0.2851 0.2172 x2

Main lines, by angle (2θ from 10° to 90°):
- (1 1 1), 25.2 deg, d = 3.538 Å, rel. 77.6
- (0 3 1), 25.3 deg, d = 3.519 Å, rel. 81.2
- (0 1 2), 27.6 deg, d = 3.235 Å, rel. 42.8
- (1 2 1), 28.1 deg, d = 3.172 Å, rel. 98.0
- (1 3 1), 32.5 deg, d = 2.754 Å, rel. 100.0
- (1 0 2), 33.6 deg, d = 2.671 Å, rel. 62.8
- (1 4 0), 35.3 deg, d = 2.539 Å, rel. 23.6
- (2 0 0), 40.8 deg, d = 2.212 Å, rel. 39.7
- (1 5 0), 41.7 deg, d = 2.164 Å, rel. 23.2
- (0 2 3), 43.0 deg, d = 2.102 Å, rel. 23.9
- (2 3 1), 48.6 deg, d = 1.872 Å, rel. 29.7
- (1 1 4), 59.5 deg, d = 1.554 Å, rel. 23.0